Entry 1:
For CdGa5Ag4, a crystal structure in Alexandria, relaxed with PBE gives the calculated powder diffractogram in this record (λ = 1.5418 Å (Cu Kα)).
Intensities are scaled so that the largest is 100.

Lattice parameters (Å, degrees): 9.067 9.077 4.764 90.00 90.00 90.00
Atoms (fractional coordinates):
Cd (0.250, 0.250, 0.212)
Cd (0.750, 0.750, 0.788)
Ga (0.072, 0.501, 0.262)
Ga (0.072, 0.999, 0.262)
Ga (0.250, 0.750, 0.415)
Ga (0.428, 0.501, 0.262)
Ga (0.428, 0.999, 0.262)
Ga (0.572, 0.001, 0.738)
Ga (0.572, 0.499, 0.738)
Ga (0.750, 0.250, 0.585)
Ga (0.928, 0.001, 0.738)
Ga (0.928, 0.499, 0.738)
Ag (0.066, 0.750, 0.950)
Ag (0.250, 0.006, 0.753)
Ag (0.250, 0.494, 0.753)
Ag (0.434, 0.750, 0.950)
Ag (0.566, 0.250, 0.050)
Ag (0.750, 0.506, 0.247)
Ag (0.750, 0.994, 0.247)
Ag (0.934, 0.250, 0.050)

Largest 6 diffraction maxima, low angle first, 2θ from 10° to 90°:
| 2θ (°) | intensity |
| --- | --- |
| 28.90 | 22.9 |
| 36.58 | 21.7 |
| 39.73 | 48.7 |
| 40.55 | 100.0 |
| 42.88 | 36.1 |
| 72.65 | 18.7 |

---

Entry 2:
For PrTh4In5, a crystal structure in Alexandria, relaxed with PBE gives the calculated powder diffractogram in this record (λ = 1.5418 Å (Cu Kα)).
Intensities are scaled so that the largest is 100.

Lattice parameters (Å, degrees): 3.531 3.531 23.046 90.00 90.00 90.00
Atoms (fractional coordinates):
Pr (0.000, 0.000, 0.000)
Th (0.000, 0.000, 0.200)
Th (0.000, 0.000, 0.400)
Th (0.000, 0.000, 0.600)
Th (0.000, 0.000, 0.800)
In (0.500, 0.500, 0.100)
In (0.500, 0.500, 0.300)
In (0.500, 0.500, 0.500)
In (0.500, 0.500, 0.700)
In (0.500, 0.500, 0.900)

Largest 6 diffraction maxima, low angle first, 2θ from 10° to 90°:
| 2θ (°) | intensity |
| --- | --- |
| 31.93 | 100.0 |
| 35.97 | 36.4 |
| 39.09 | 14.5 |
| 51.78 | 12.9 |
| 54.16 | 22.6 |
| 62.13 | 29.9 |

---

Entry 3:
For Nd3B7W, a crystal structure in Alexandria, relaxed with PBE gives the calculated powder diffractogram in this record (λ = 1.5418 Å (Cu Kα)).
Intensities are scaled so that the largest is 100.

Lattice parameters (Å, degrees): 8.483 8.483 9.708 90.00 90.00 155.77
Atoms (fractional coordinates):
Nd (0.106, 0.894, 0.563)
Nd (0.106, 0.894, 0.937)
Nd (0.245, 0.755, 0.250)
Nd (0.755, 0.245, 0.750)
Nd (0.894, 0.106, 0.063)
Nd (0.894, 0.106, 0.437)
B (0.274, 0.726, 0.531)
B (0.274, 0.726, 0.969)
B (0.365, 0.635, 0.649)
B (0.365, 0.635, 0.851)
B (0.465, 0.535, 0.250)
B (0.477, 0.523, 0.595)
B (0.477, 0.523, 0.905)
B (0.523, 0.477, 0.095)
B (0.523, 0.477, 0.405)
B (0.535, 0.465, 0.750)
B (0.635, 0.365, 0.149)
B (0.635, 0.365, 0.351)
B (0.726, 0.274, 0.031)
B (0.726, 0.274, 0.469)
W (0.056, 0.944, 0.250)
W (0.944, 0.056, 0.750)

Largest 6 diffraction maxima, low angle first, 2θ from 10° to 90°:
| 2θ (°) | intensity |
| --- | --- |
| 25.59 | 100.0 |
| 28.30 | 67.3 |
| 29.63 | 72.7 |
| 37.04 | 44.3 |
| 37.96 | 83.0 |
| 38.22 | 66.4 |

---

Question: What is the formula in the third record?
Answer: Nd3B7W